This entry pairs a crystal structure of Sm3Hg4Pd4 with its computed powder diffractogram. Radiation: copper Kα. Structure: a DFT-relaxed cell (GGA-PBE, Alexandria).
Lines closer than 0.1° are merged.

Structural model:
```
data_Sm3Hg4Pd4
_chemical_formula_sum 'Sm6 Hg8 Pd8'
_space_group_name_H-M_alt 'I m m m'
_space_group_IT_number 71
_space_group_name_Hall '-I 2 2'
_cell_length_a 4.0458
_cell_length_b 7.9939
_cell_length_c 15.4631
_cell_angle_alpha 90.00
_cell_angle_beta 90.00
_cell_angle_gamma 90.00
loop_
_atom_site_label
_atom_site_type_symbol
_atom_site_fract_x
_atom_site_fract_y
_atom_site_fract_z
Sm1 Sm 0.0000 0.0000 0.0000
Sm2 Sm 0.0000 0.5000 0.1213
Hg1 Hg 0.0000 0.3067 0.3355
Pd1 Pd 0.0000 0.0000 0.2367
Pd2 Pd 0.0000 0.1809 0.5000
```

Largest 6 diffraction maxima, sorted by position, 10 to 90 degrees two-theta:
| h k l | 2θ (°) | I/Imax |
| --- | --- | --- |
| 1 2 1 | 32.00 | 100 |
| 1 1 4 | 33.98 | 98 |
| 1 2 3 | 36.08 | 34 |
| 0 3 3 | 38.01 | 66 |
| 2 0 0 | 44.81 | 44 |
| 2 3 3 | 60.17 | 35 |